(1)
Starting from a cell relaxed with PBE, the X-ray powder pattern of Li3PrHg9 was simulated for CuKα.
Peak positions follow from Bragg's law for the DFT cell and can differ from measured ones.

Top 8 peaks for 10 to 90 degrees two-theta, low angle first:
2θ (°), I/Imax, index
25.5, 39, 0 0 2
30.9, 51, 1 3 1
31.3, 65, 2 0 -1
35.5, 100, 1 5 -1
35.8, 53, 0 4 2
36.4, 46, 1 1 -3
40.1, 35, 1 5 -2
40.6, 39, 2 0 1

Structural model:
a b c (Å): 5.7156 14.3795 7.5458
angles (deg): 90.00 111.93 90.00
Space group C2/m (No. 12)
One atom of each set of equivalent atoms:
Li 0.0000 0.0000 0.0000
Li 0.2500 0.2500 0.5000
Pr 0.0000 0.0000 0.5000
Hg 0.0000 0.5000 0.0000
Hg 0.1295 0.3907 0.7098
Hg 0.1686 0.1767 0.8245

(2)
Starting from a cell relaxed with PBE, the X-ray powder pattern of Ba3In2Hg5Sb2 was simulated for CuKα.
Peak positions follow from Bragg's law for the DFT cell and can differ from measured ones.

Top 8 peaks for 10 to 90 degrees two-theta, low angle first:
2θ (°), I/Imax, index
25.7, 29, 1 1 2
29.5, 100, 1 1 6
32.6, 37, 1 1 8
35.9, 86, 2 0 0
36.1, 32, 1 1 10
40.1, 23, 1 1 12
51.7, 47, 2 2 0
60.7, 27, 3 1 6

Structural model:
a b c (Å): 4.9965 4.9965 35.0448
angles (deg): 90.00 90.00 90.00
Space group I4/mmm (No. 139)
One atom of each set of equivalent atoms:
Ba 0.0000 0.0000 0.0000
Ba 0.0000 0.0000 0.1967
In 0.0000 0.0000 0.3755
Hg 0.0000 0.0000 0.5000
Hg 0.0000 0.5000 0.0735
Sb 0.0000 0.0000 0.2963